[1]
The following is a theoretical X-ray powder pattern of Mg15Si. It was derived from the GGA-PBE geometry in the Materials Project, using λ = 1.5418 Å (Cu Kα).
Neutral-atom scattering factors, no anomalous dispersion.

Structure:
```
Mg15Si
1.0
6.318 0.000 0.000
-3.159 5.471 0.000
0.000 0.000 10.234
Mg Si
15 1
direct
0.000 0.000 0.000 Mg
0.003 0.502 0.500 Mg
0.329 0.165 0.255 Mg
0.329 0.165 0.745 Mg
0.333 0.667 0.249 Mg
0.333 0.667 0.751 Mg
0.498 0.502 0.500 Mg
0.498 0.997 0.500 Mg
0.501 0.001 0.000 Mg
0.501 0.499 0.000 Mg
0.835 0.165 0.255 Mg
0.835 0.165 0.745 Mg
0.835 0.671 0.255 Mg
0.835 0.671 0.745 Mg
0.999 0.499 0.000 Mg
0.000 0.000 0.500 Si
```

Main lines, low angle first (10° ≤ 2θ ≤ 80°):
(hkl), d [Å], I/Imax
2 0 0, 2.736, 24
0 0 4, 2.559, 26
2 0 2, 2.412, 100
2 0 4, 1.869, 15
2 2 0, 1.579, 17
2 0 6, 1.447, 18
2 2 4, 1.344, 19
4 0 2, 1.321, 13


[2]
The following is a theoretical X-ray powder pattern of Mg4Si7. It was derived from the GGA-PBE geometry in the Materials Project, using λ = 1.5418 Å (Cu Kα).
Neutral-atom scattering factors, no anomalous dispersion.

Structure:
```
Mg4Si7
1.0
6.733 0.000 0.000
0.000 3.754 0.000
-3.296 0.000 15.381
Mg Si
8 14
direct
0.000 0.000 0.000 Mg
0.003 0.000 0.752 Mg
0.081 0.500 0.181 Mg
0.302 0.000 0.514 Mg
0.452 0.000 0.917 Mg
0.523 0.000 0.699 Mg
0.637 0.500 0.264 Mg
0.737 0.500 0.846 Mg
0.013 0.500 0.421 Si
0.137 0.500 0.894 Si
0.143 0.500 0.620 Si
0.320 0.500 0.777 Si
0.339 0.000 0.301 Si
0.343 0.500 0.044 Si
0.383 0.000 0.146 Si
0.464 0.500 0.418 Si
0.649 0.500 0.586 Si
0.711 0.500 0.032 Si
0.716 0.000 0.415 Si
0.761 0.000 0.140 Si
0.888 0.000 0.568 Si
0.975 0.000 0.313 Si
```

Main lines, low angle first (10° ≤ 2θ ≤ 80°):
(hkl), d [Å], I/Imax
1 1 -4, 2.627, 40
2 1 -1, 2.506, 19
2 1 0, 2.474, 26
2 1 -3, 2.381, 100
1 1 4, 2.368, 32
0 0 7, 2.196, 17
3 0 -4, 2.105, 14
0 2 0, 1.877, 33


[3]
The following is a theoretical X-ray powder pattern of Mg5Si6. It was derived from the GGA-PBE geometry in the Materials Project, using λ = 1.5418 Å (Cu Kα).
Neutral-atom scattering factors, no anomalous dispersion.

Structure:
```
Mg5Si6
1.0
5.269 0.000 0.000
-0.086 5.409 0.000
-1.059 -0.511 13.900
Mg Si
10 12
direct
0.000 0.000 0.000 Mg
0.017 0.784 0.567 Mg
0.072 0.011 0.783 Mg
0.151 0.536 0.900 Mg
0.205 0.538 0.329 Mg
0.303 0.390 0.113 Mg
0.381 0.349 0.528 Mg
0.536 0.943 0.672 Mg
0.706 0.685 0.227 Mg
0.969 0.041 0.383 Mg
0.189 0.888 0.196 Si
0.204 0.488 0.706 Si
0.463 0.115 0.323 Si
0.472 0.845 0.470 Si
0.497 0.895 0.057 Si
0.593 0.279 0.889 Si
0.612 0.833 0.876 Si
0.713 0.478 0.740 Si
0.763 0.518 0.418 Si
0.795 0.185 0.166 Si
0.810 0.488 0.033 Si
0.891 0.261 0.579 Si
```

Main lines, low angle first (10° ≤ 2θ ≤ 80°):
(hkl), d [Å], I/Imax
2 0 -1, 2.618, 28
2 0 2, 2.397, 38
1 0 5, 2.384, 99
2 1 0, 2.345, 67
1 1 -5, 2.321, 100
0 2 3, 2.298, 53
1 -2 2, 2.286, 89
-2 1 3, 2.165, 53


[4]
The following is a theoretical X-ray powder pattern of Mg5Si6. It was derived from the GGA-PBE geometry in the Materials Project, using λ = 1.5418 Å (Cu Kα).
Neutral-atom scattering factors, no anomalous dispersion.

Structure:
```
Mg5Si6
1.0
4.120 0.000 0.000
0.216 6.890 0.000
1.225 1.963 14.287
Mg Si
10 12
direct
0.055 0.202 0.404 Mg
0.138 0.780 0.322 Mg
0.162 0.443 0.177 Mg
0.206 0.968 0.093 Mg
0.357 0.888 0.756 Mg
0.643 0.112 0.244 Mg
0.794 0.032 0.907 Mg
0.838 0.557 0.823 Mg
0.862 0.220 0.678 Mg
0.945 0.798 0.596 Mg
0.261 0.345 0.959 Si
0.261 0.432 0.539 Si
0.266 0.716 0.943 Si
0.317 0.253 0.805 Si
0.395 0.537 0.687 Si
0.432 0.079 0.568 Si
0.568 0.921 0.432 Si
0.605 0.463 0.313 Si
0.683 0.747 0.195 Si
0.734 0.284 0.057 Si
0.739 0.568 0.461 Si
0.739 0.655 0.041 Si
```

Main lines, low angle first (10° ≤ 2θ ≤ 80°):
(hkl), d [Å], I/Imax
1 1 -3, 2.671, 100
1 -1 4, 2.495, 71
-1 2 2, 2.486, 90
1 0 5, 2.440, 31
1 -2 2, 2.400, 92
0 3 -1, 2.201, 32
0 3 3, 2.171, 31
2 0 1, 2.055, 60